Entry 1:
Structure and theoretical powder diffraction line list of Tm2Sn3 (a DFT-relaxed cell (PBE, Alexandria); a wavelength of 1.5418 Å).

Structure:
```
data_Tm2Sn3
_chemical_formula_sum 'Tm4 Sn6'
_cell_length_a 7.610
_cell_length_b 7.610
_cell_length_c 4.442
_cell_angle_alpha 90.00
_cell_angle_beta 90.00
_cell_angle_gamma 90.00
_symmetry_space_group_name_H-M 'P 4/m'
_symmetry_Int_Tables_number 83
loop_
_symmetry_equiv_pos_as_xyz
'x,y,z'
'-x,-y,-z'
'-y,x,z'
'y,-x,-z'
'-x,-y,z'
'x,y,-z'
'y,-x,z'
'-y,x,-z'
loop_
_atom_site_label
_atom_site_type_symbol
_atom_site_fract_x
_atom_site_fract_y
_atom_site_fract_z
_atom_site_occupancy
Tm1 Tm 0.143 0.694 0.000 1
Sn1 Sn 0.000 0.000 0.500 1
Sn2 Sn 0.174 0.396 0.500 1
Sn3 Sn 0.500 0.500 0.000 1
```

Most intense lines, 2θ = 10–80°, low angle first:
30.94 deg, I 4
33.16 deg, I 100
37.37 deg, I 32
40.62 deg, I 15
53.84 deg, I 14
56.37 deg, I 20
64.74 deg, I 19
69.19 deg, I 12
69.60 deg, I 8
69.85 deg, I 3

***

Entry 2:
Structure and theoretical powder diffraction line list of TmSn5 (a DFT-relaxed cell (PBE, Alexandria); a wavelength of 1.5418 Å).

Structure:
```
data_TmSn5
_chemical_formula_sum 'Tm2 Sn10'
_cell_length_a 4.299
_cell_length_b 11.048
_cell_length_c 6.643
_cell_angle_alpha 90.00
_cell_angle_beta 90.00
_cell_angle_gamma 90.00
_symmetry_space_group_name_H-M 'P m m n'
_symmetry_Int_Tables_number 59
loop_
_symmetry_equiv_pos_as_xyz
'x,y,z'
'-x,-y,-z'
'-x+1/2,-y+1/2,z'
'x+1/2,y+1/2,-z'
'x+1/2,-y,-z'
'-x+1/2,y,z'
'-x,y+1/2,-z'
'x,-y+1/2,z'
loop_
_atom_site_label
_atom_site_type_symbol
_atom_site_fract_x
_atom_site_fract_y
_atom_site_fract_z
_atom_site_occupancy
Tm1 Tm 0.250 0.250 0.102 1
Sn1 Sn 0.250 0.250 0.618 1
Sn2 Sn 0.250 0.569 0.136 1
Sn3 Sn 0.250 0.600 0.623 1
```

Most intense lines, 2θ = 10–80°, low angle first:
32.00 deg, I 100
34.11 deg, I 87
36.43 deg, I 69
42.03 deg, I 25
49.50 deg, I 13
56.81 deg, I 39
61.49 deg, I 27
65.35 deg, I 24
66.91 deg, I 11
70.51 deg, I 11

***

Entry 3:
Structure and theoretical powder diffraction line list of Tm8Sn3 (a DFT-relaxed cell (PBE, Alexandria); a wavelength of 1.5418 Å).

Structure:
```
data_Tm8Sn3
_chemical_formula_sum 'Tm24 Sn9'
_cell_length_a 9.8873
_cell_length_b 9.8873
_cell_length_c 12.4406
_cell_angle_alpha 90.00
_cell_angle_beta 90.00
_cell_angle_gamma 120.00
_symmetry_space_group_name_H-M 'R -3'
_symmetry_Int_Tables_number 148
_symmetry_space_group_name_Hall '-R 3'
loop_
_atom_site_label
_atom_site_type_symbol
_atom_site_fract_x
_atom_site_fract_y
_atom_site_fract_z
_atom_site_occupancy
Tm1 Tm 0.0000 0.0000 0.1595 1
Tm2 Tm 0.0281 0.7983 0.6121 1
Sn1 Sn 0.0000 0.5000 0.5000 1
```

Most intense lines, 2θ = 10–80°, low angle first:
28.09 deg, I 36
28.50 deg, I 100
30.58 deg, I 35
31.15 deg, I 50
37.65 deg, I 14
40.67 deg, I 11
42.58 deg, I 40
42.87 deg, I 9
48.73 deg, I 21
58.06 deg, I 16

***

Entry 4:
Structure and theoretical powder diffraction line list of Tm11Sn10 (a DFT-relaxed cell (PBE, Alexandria); a wavelength of 1.5418 Å).

Structure:
```
data_Tm11Sn10
_chemical_formula_sum 'Tm44 Sn40'
_cell_length_a 11.505
_cell_length_b 11.505
_cell_length_c 16.837
_cell_angle_alpha 90.00
_cell_angle_beta 90.00
_cell_angle_gamma 90.00
_symmetry_space_group_name_H-M 'I 4/m m m'
_symmetry_Int_Tables_number 139
_symmetry_space_group_name_Hall '-I 4 2'
loop_
_atom_site_label
_atom_site_type_symbol
_atom_site_fract_x
_atom_site_fract_y
_atom_site_fract_z
_atom_site_occupancy
Tm1 Tm 0.000 0.000 0.166 1
Tm2 Tm 0.000 0.251 0.312 1
Tm3 Tm 0.000 0.332 0.102 1
Tm4 Tm 0.173 0.173 0.500 1
Sn1 Sn 0.000 0.000 0.387 1
Sn2 Sn 0.000 0.355 0.500 1
Sn3 Sn 0.000 0.500 0.250 1
Sn4 Sn 0.130 0.130 0.000 1
Sn5 Sn 0.206 0.206 0.176 1
```

Most intense lines, 2θ = 10–80°, low angle first:
31.09 deg, I 34
31.76 deg, I 90
32.27 deg, I 100
32.53 deg, I 52
32.91 deg, I 54
33.03 deg, I 75
34.76 deg, I 24
35.48 deg, I 49
47.39 deg, I 32
65.22 deg, I 36

***

> What is the formula in the second record?

TmSn5

***

> Number 4 is which compound?

Tm11Sn10